Structure and theoretical X-ray powder pattern of Sr4CeMn5O15 (a cell relaxed with PBE+U; Cu Ka).
Peak positions follow from Bragg's law for the DFT cell and can differ from measured ones.

Structural model:
```
Sr4CeMn5O15
1.0
8.274 -2.754 0.000
8.274 2.754 0.000
-1.820 0.000 6.463
Sr Ce Mn O
4 1 5 15
Direct
0.101 0.101 0.398
0.301 0.301 0.200
0.699 0.699 0.800
0.899 0.899 0.602
0.500 0.500 0.000
0.100 0.100 0.900
0.300 0.300 0.698
0.500 0.500 0.500
0.700 0.700 0.302
0.900 0.900 0.100
0.000 0.000 0.000
0.000 0.500 0.500
0.120 0.601 0.905
0.202 0.202 0.812
0.212 0.694 0.289
0.306 0.788 0.711
0.399 0.880 0.095
0.404 0.404 0.611
0.500 0.000 0.500
0.596 0.596 0.389
0.601 0.120 0.905
0.694 0.212 0.289
0.788 0.306 0.711
0.798 0.798 0.188
0.880 0.399 0.095
```

The 10 most intense peaks (10 to 90 degrees two-theta), by intensity:
2θ 32.48, rel. 100.0; 2θ 32.61, rel. 99.1; 2θ 46.69, rel. 73.6; 2θ 58.03, rel. 38.0; 2θ 40.09, rel. 23.8; 2θ 68.31, rel. 20.9; 2θ 57.95, rel. 19.3; 2θ 58.26, rel. 18.7; 2θ 67.98, rel. 13.9; 2θ 77.59, rel. 10.8

---

Structure and theoretical X-ray powder pattern of NaCeMo2O8 (a cell relaxed with PBE+U; Cu Ka).
Peak positions follow from Bragg's law for the DFT cell and can differ from measured ones.

Structural model:
```
NaCeMo2O8
1.0
-2.694 2.694 5.811
2.694 -2.694 5.811
2.694 2.694 -5.811
Na Ce Mo O
1 1 2 8
Direct
0.000 0.000 0.000
0.750 0.250 0.500
0.250 0.750 0.500
0.500 0.500 0.000
0.016 0.427 0.109
0.093 0.984 0.411
0.172 0.550 0.899
0.318 0.907 0.891
0.450 0.349 0.621
0.573 0.682 0.589
0.651 0.273 0.101
0.727 0.828 0.379
```

The 10 most intense peaks (10 to 90 degrees two-theta), by intensity:
2θ 28.00, rel. 100.0; 2θ 45.94, rel. 30.8; 2θ 56.26, rel. 26.2; 2θ 74.12, rel. 19.1; 2θ 18.15, rel. 18.4; 2θ 33.25, rel. 18.4; 2θ 53.03, rel. 15.7; 2θ 47.74, rel. 12.9; 2θ 30.77, rel. 12.0; 2θ 15.25, rel. 11.4

---

Structure and theoretical X-ray powder pattern of CeMoO2 (a cell relaxed with PBE+U; Cu Ka).
Peak positions follow from Bragg's law for the DFT cell and can differ from measured ones.

Structural model:
```
CeMoO2
1.0
-3.221 3.221 6.079
3.221 -3.221 6.079
3.221 3.221 -6.079
Ce Mo O
4 4 8
Direct
0.000 0.000 0.000
0.000 0.000 0.500
0.000 0.500 0.000
0.500 0.000 0.500
0.000 0.500 0.500
0.500 0.000 0.000
0.500 0.500 0.000
0.500 0.500 0.500
0.203 0.229 0.526
0.203 0.677 0.974
0.229 0.203 0.026
0.323 0.797 0.526
0.677 0.203 0.474
0.771 0.797 0.974
0.797 0.323 0.026
0.797 0.771 0.474
```

The 10 most intense peaks (10 to 90 degrees two-theta), by intensity:
2θ 31.43, rel. 100.0; 2θ 39.57, rel. 44.9; 2θ 29.39, rel. 42.6; 2θ 50.04, rel. 37.2; 2θ 53.42, rel. 29.4; 2θ 66.73, rel. 24.3; 2θ 82.08, rel. 16.8; 2θ 65.60, rel. 16.1; 2θ 57.19, rel. 14.4; 2θ 85.34, rel. 8.8

---

Structure and theoretical X-ray powder pattern of CeMo5O8 (a cell relaxed with PBE+U; Cu Ka).
Peak positions follow from Bragg's law for the DFT cell and can differ from measured ones.

Structural model:
```
CeMo5O8
1.0
8.470 0.000 0.000
0.000 9.390 0.000
-3.840 0.000 10.105
Ce Mo O
4 20 32
Direct
0.219 0.024 0.493
0.219 0.476 0.993
0.781 0.524 0.007
0.781 0.976 0.507
0.087 0.131 0.805
0.087 0.369 0.305
0.104 0.647 0.482
0.104 0.853 0.982
0.296 0.649 0.278
0.296 0.851 0.778
0.307 0.124 0.136
0.307 0.376 0.636
0.488 0.147 0.912
0.488 0.353 0.412
0.512 0.647 0.588
0.512 0.853 0.088
0.693 0.624 0.364
0.693 0.876 0.864
0.704 0.149 0.222
0.704 0.351 0.722
0.896 0.147 0.018
0.896 0.353 0.518
0.913 0.631 0.695
0.913 0.869 0.195
0.088 0.501 0.635
0.088 0.999 0.135
0.090 0.510 0.147
0.090 0.990 0.647
0.107 0.245 0.988
0.107 0.255 0.488
0.131 0.713 0.836
0.131 0.787 0.336
0.283 0.226 0.302
0.283 0.274 0.802
0.309 0.725 0.099
0.309 0.775 0.599
0.473 0.001 0.754
0.473 0.499 0.254
0.484 0.248 0.586
0.484 0.252 0.086
0.516 0.748 0.914
0.516 0.752 0.414
0.527 0.501 0.746
0.527 0.999 0.246
0.691 0.225 0.401
0.691 0.275 0.901
0.717 0.726 0.198
0.717 0.774 0.698
0.869 0.213 0.664
0.869 0.287 0.164
0.893 0.745 0.512
0.893 0.755 0.012
0.910 0.010 0.353
0.910 0.490 0.853
0.912 0.001 0.865
0.912 0.499 0.365
```

The 10 most intense peaks (10 to 90 degrees two-theta), by intensity:
2θ 29.88, rel. 100.0; 2θ 33.13, rel. 88.1; 2θ 31.35, rel. 76.0; 2θ 60.04, rel. 43.9; 2θ 28.15, rel. 43.5; 2θ 28.61, rel. 38.3; 2θ 34.72, rel. 35.1; 2θ 33.63, rel. 33.1; 2θ 43.54, rel. 32.0; 2θ 34.56, rel. 31.6

---

Question: Number 4 is which compound?
Answer: CeMo5O8